1.
AlB2W: computed powder diffractogram (Cu Ka), based on a crystal structure in Alexandria, relaxed with GGA-PBE.
Lines closer than 0.1° are merged.

Largest 10 diffraction maxima, in order of rising 2θ, 5 to 70 degrees two-theta:
- 2θ 20.15, I = 100
- 2θ 22.84, I = 99
- 2θ 25.58, I = 77
- 2θ 32.78, I = 62
- 2θ 32.91, I = 66
- 2θ 33.74, I = 58
- 2θ 39.44, I = 70
- 2θ 39.61, I = 66
- 2θ 42.45, I = 77
- 2θ 58.98, I = 49

Structure:
```
data_AlB2W
_cell_length_a 4.454
_cell_length_b 4.406
_cell_length_c 8.620
_cell_angle_alpha 90.00
_cell_angle_beta 105.32
_cell_angle_gamma 90.00
_space_group_name_H-M_alt 'P 1 2/c 1'
_space_group_IT_number 13
loop_
_space_group_symop_operation_xyz
'x,y,z'
'-x,-y,-z'
'-x,y,-z+1/2'
'x,-y,z+1/2'
loop_
_atom_site_label
_atom_site_type_symbol
_atom_site_fract_x
_atom_site_fract_y
_atom_site_fract_z
Al1 Al 0.198 0.126 0.147
B1 B 0.153 0.365 0.559
B2 B 0.337 0.129 0.445
W1 W 0.305 0.374 0.853
```

2.
Pm4Ga16Pt3: computed powder diffractogram (Cu Ka), based on a crystal structure in Alexandria, relaxed with GGA-PBE.
Lines closer than 0.1° are merged.

Largest 10 diffraction maxima, in order of rising 2θ, 5 to 70 degrees two-theta:
- 2θ 19.99, I = 22
- 2θ 21.52, I = 34
- 2θ 31.26, I = 62
- 2θ 37.38, I = 100
- 2θ 40.16, I = 24
- 2θ 40.62, I = 87
- 2θ 43.23, I = 41
- 2θ 52.13, I = 27
- 2θ 58.46, I = 18
- 2θ 58.80, I = 27

Structure:
```
data_Pm4Ga16Pt3
_cell_length_a 6.281
_cell_length_b 6.281
_cell_length_c 11.225
_cell_angle_alpha 90.00
_cell_angle_beta 90.00
_cell_angle_gamma 90.00
_space_group_name_H-M_alt 'P 4/m m m'
_space_group_IT_number 123
_space_group_name_Hall '-P 4 2'
loop_
_atom_site_label
_atom_site_type_symbol
_atom_site_fract_x
_atom_site_fract_y
_atom_site_fract_z
Pm1 Pm 0.000 0.500 0.192
Ga1 Ga 0.000 0.000 0.201
Ga2 Ga 0.209 0.209 0.000
Ga3 Ga 0.246 0.246 0.378
Ga4 Ga 0.500 0.500 0.232
Pt1 Pt 0.000 0.500 0.500
Pt2 Pt 0.500 0.500 0.000
```

3.
SrCaTl4: computed powder diffractogram (Cu Ka), based on a crystal structure in Alexandria, relaxed with GGA-PBE.
Lines closer than 0.1° are merged.

Largest 10 diffraction maxima, in order of rising 2θ, 5 to 70 degrees two-theta:
- 2θ 19.60, I = 17
- 2θ 22.59, I = 21
- 2θ 30.04, I = 100
- 2θ 34.11, I = 54
- 2θ 34.38, I = 27
- 2θ 45.89, I = 10
- 2θ 46.25, I = 10
- 2θ 46.31, I = 10
- 2θ 50.57, I = 19
- 2θ 58.53, I = 16

Structure:
```
data_SrCaTl4
_cell_length_a 3.937
_cell_length_b 5.216
_cell_length_c 9.131
_cell_angle_alpha 90.07
_cell_angle_beta 90.19
_cell_angle_gamma 90.04
_space_group_name_H-M_alt 'P 1'
_space_group_IT_number 1
loop_
_space_group_symop_operation_xyz
'x,y,z'
loop_
_atom_site_label
_atom_site_type_symbol
_atom_site_fract_x
_atom_site_fract_y
_atom_site_fract_z
Sr1 Sr 0.000 0.000 0.000
Ca1 Ca 0.000 0.500 0.501
Tl1 Tl 0.379 0.000 0.340
Tl2 Tl 0.409 0.499 0.828
Tl3 Tl 0.594 0.501 0.173
Tl4 Tl 0.619 0.999 0.661
```

4.
MnInRe2: computed powder diffractogram (Cu Ka), based on a crystal structure in Alexandria, relaxed with GGA-PBE.
Lines closer than 0.1° are merged.

Largest 10 diffraction maxima, in order of rising 2θ, 5 to 70 degrees two-theta:
- 2θ 21.58, I = 26
- 2θ 30.99, I = 11
- 2θ 33.54, I = 9
- 2θ 38.08, I = 100
- 2θ 40.23, I = 86
- 2θ 43.98, I = 33
- 2θ 46.31, I = 57
- 2θ 51.63, I = 12
- 2θ 64.59, I = 10
- 2θ 65.77, I = 40

Structure:
```
data_MnInRe2
_cell_length_a 5.344
_cell_length_b 8.236
_cell_length_c 2.886
_cell_angle_alpha 90.00
_cell_angle_beta 90.00
_cell_angle_gamma 90.00
_space_group_name_H-M_alt 'C m m m'
_space_group_IT_number 65
_space_group_name_Hall '-C 2 2'
loop_
_atom_site_label
_atom_site_type_symbol
_atom_site_fract_x
_atom_site_fract_y
_atom_site_fract_z
Mn1 Mn 0.000 0.000 0.000
In1 In 0.000 0.500 0.000
Re1 Re 0.250 0.250 0.500
```

5.
Li3Y2Ga4: computed powder diffractogram (Cu Ka), based on a crystal structure in Alexandria, relaxed with GGA-PBE.
Lines closer than 0.1° are merged.

Largest 10 diffraction maxima, in order of rising 2θ, 5 to 70 degrees two-theta:
- 2θ 11.03, I = 48
- 2θ 22.17, I = 100
- 2θ 33.02, I = 72
- 2θ 34.15, I = 92
- 2θ 35.20, I = 99
- 2θ 37.58, I = 76
- 2θ 38.50, I = 38
- 2θ 39.41, I = 98
- 2θ 40.39, I = 51
- 2θ 69.26, I = 40

Structure:
```
data_Li3Y2Ga4
_cell_length_a 5.758
_cell_length_b 16.037
_cell_length_c 7.524
_cell_angle_alpha 90.00
_cell_angle_beta 90.00
_cell_angle_gamma 90.00
_space_group_name_H-M_alt 'C m c e'
_space_group_IT_number 64
_space_group_name_Hall '-C 2ac 2'
loop_
_atom_site_label
_atom_site_type_symbol
_atom_site_fract_x
_atom_site_fract_y
_atom_site_fract_z
Li1 Li 0.000 0.000 0.000
Li2 Li 0.250 0.234 0.250
Y1 Y 0.000 0.102 0.599
Ga1 Ga 0.000 0.162 0.991
Ga2 Ga 0.250 0.068 0.250
```

6.
Fe3Co3Ir2: computed powder diffractogram (Cu Ka), based on a crystal structure in Alexandria, relaxed with GGA-PBE.
Lines closer than 0.1° are merged.

Largest 10 diffraction maxima, in order of rising 2θ, 5 to 70 degrees two-theta:
- 2θ 24.45, I = 27
- 2θ 24.56, I = 12
- 2θ 34.90, I = 32
- 2θ 43.10, I = 100
- 2θ 50.06, I = 16
- 2θ 50.16, I = 16
- 2θ 50.35, I = 16
- 2θ 56.52, I = 9
- 2θ 56.74, I = 6
- 2θ 62.53, I = 9

Structure:
```
data_Fe3Co3Ir2
_cell_length_a 3.625
_cell_length_b 3.637
_cell_length_c 7.289
_cell_angle_alpha 90.00
_cell_angle_beta 90.00
_cell_angle_gamma 90.00
_space_group_name_H-M_alt 'P m m m'
_space_group_IT_number 47
loop_
_space_group_symop_operation_xyz
'x,y,z'
'-x,-y,-z'
'-x,-y,z'
'x,y,-z'
'x,-y,-z'
'-x,y,z'
'-x,y,-z'
'x,-y,z'
loop_
_atom_site_label
_atom_site_type_symbol
_atom_site_fract_x
_atom_site_fract_y
_atom_site_fract_z
Fe1 Fe 0.000 0.000 0.000
Fe2 Fe 0.000 0.000 0.500
Fe3 Fe 0.500 0.500 0.000
Co1 Co 0.500 0.000 0.252
Co2 Co 0.500 0.500 0.500
Ir1 Ir 0.000 0.500 0.251
```

7.
Li3AlPt: computed powder diffractogram (Cu Ka), based on a crystal structure in Alexandria, relaxed with GGA-PBE.
Lines closer than 0.1° are merged.

Largest 10 diffraction maxima, in order of rising 2θ, 5 to 70 degrees two-theta:
- 2θ 19.54, I = 63
- 2θ 27.78, I = 100
- 2θ 34.19, I = 28
- 2θ 39.69, I = 23
- 2θ 44.61, I = 32
- 2θ 49.13, I = 42
- 2θ 57.38, I = 16
- 2θ 61.22, I = 16
- 2θ 64.92, I = 19
- 2θ 68.52, I = 11

Structure:
```
data_Li3AlPt
_cell_length_a 4.542
_cell_length_b 4.542
_cell_length_c 4.542
_cell_angle_alpha 90.00
_cell_angle_beta 90.00
_cell_angle_gamma 90.00
_space_group_name_H-M_alt 'P m -3 m'
_space_group_IT_number 221
_space_group_name_Hall '-P 4 2 3'
loop_
_atom_site_label
_atom_site_type_symbol
_atom_site_fract_x
_atom_site_fract_y
_atom_site_fract_z
Li1 Li 0.000 0.000 0.500
Al1 Al 0.000 0.000 0.000
Pt1 Pt 0.500 0.500 0.500
```

8.
Tb15Pm4Pr: computed powder diffractogram (Cu Ka), based on a crystal structure in Alexandria, relaxed with GGA-PBE.
Lines closer than 0.1° are merged.

Largest 7 diffraction maxima, in order of rising 2θ, 5 to 70 degrees two-theta:
- 2θ 30.53, I = 100
- 2θ 35.36, I = 34
- 2θ 35.47, I = 17
- 2θ 50.93, I = 36
- 2θ 60.50, I = 29
- 2θ 60.65, I = 14
- 2θ 63.55, I = 12

Structure:
```
data_Tb15Pm4Pr
_cell_length_a 5.077
_cell_length_b 5.077
_cell_length_c 25.307
_cell_angle_alpha 90.00
_cell_angle_beta 90.00
_cell_angle_gamma 90.00
_space_group_name_H-M_alt 'P 4/m m m'
_space_group_IT_number 123
_space_group_name_Hall '-P 4 2'
loop_
_atom_site_label
_atom_site_type_symbol
_atom_site_fract_x
_atom_site_fract_y
_atom_site_fract_z
Tb1 Tb 0.000 0.000 0.000
Tb2 Tb 0.000 0.000 0.200
Tb3 Tb 0.000 0.000 0.400
Tb4 Tb 0.000 0.500 0.101
Tb5 Tb 0.000 0.500 0.300
Tb6 Tb 0.000 0.500 0.500
Pm1 Pm 0.500 0.500 0.200
Pm2 Pm 0.500 0.500 0.400
Pr1 Pr 0.500 0.500 0.000
```

9.
Ce2Zn12Ag5: computed powder diffractogram (Cu Ka), based on a crystal structure in Alexandria, relaxed with GGA-PBE.
Lines closer than 0.1° are merged.

Largest 10 diffraction maxima, in order of rising 2θ, 5 to 70 degrees two-theta:
- 2θ 27.60, I = 21
- 2θ 28.62, I = 19
- 2θ 33.53, I = 44
- 2θ 34.68, I = 22
- 2θ 38.91, I = 88
- 2θ 39.17, I = 100
- 2θ 39.93, I = 68
- 2θ 40.18, I = 29
- 2θ 43.97, I = 59
- 2θ 56.99, I = 30

Structure:
```
data_Ce2Zn12Ag5
_cell_length_a 9.2573
_cell_length_b 9.2573
_cell_length_c 13.5434
_cell_angle_alpha 90.00
_cell_angle_beta 90.00
_cell_angle_gamma 120.00
_space_group_name_H-M_alt 'R -3 m'
_space_group_IT_number 166
_space_group_name_Hall '-R 3 2"'
loop_
_atom_site_label
_atom_site_type_symbol
_atom_site_fract_x
_atom_site_fract_y
_atom_site_fract_z
Ce1 Ce 0.0000 0.0000 0.1559
Zn1 Zn 0.0000 0.3001 0.5000
Zn2 Zn 0.0126 0.5063 0.6540
Ag1 Ag 0.0000 0.0000 0.3964
Ag2 Ag 0.0000 0.5000 0.0000
```

10.
Rb2MgU2Te6: computed powder diffractogram (Cu Ka), based on a crystal structure in Alexandria, relaxed with GGA-PBE.
Lines closer than 0.1° are merged.

Largest 10 diffraction maxima, in order of rising 2θ, 5 to 70 degrees two-theta:
- 2θ 10.07, I = 55
- 2θ 15.00, I = 12
- 2θ 27.00, I = 100
- 2θ 33.44, I = 24
- 2θ 36.02, I = 33
- 2θ 40.96, I = 36
- 2θ 42.29, I = 11
- 2θ 44.67, I = 15
- 2θ 49.75, I = 19
- 2θ 66.35, I = 16

Structure:
```
data_Rb2MgU2Te6
_cell_length_a 7.629
_cell_length_b 13.224
_cell_length_c 9.145
_cell_angle_alpha 90.00
_cell_angle_beta 106.19
_cell_angle_gamma 90.00
_space_group_name_H-M_alt 'C 1 2/m 1'
_space_group_IT_number 12
loop_
_space_group_symop_operation_xyz
'x,y,z'
'-x,-y,-z'
'-x,y,-z'
'x,-y,z'
'x+1/2,y+1/2,z'
'-x+1/2,-y+1/2,-z'
'-x+1/2,y+1/2,-z'
'x+1/2,-y+1/2,z'
loop_
_atom_site_label
_atom_site_type_symbol
_atom_site_fract_x
_atom_site_fract_y
_atom_site_fract_z
Rb1 Rb 0.000 0.167 0.000
Mg1 Mg 0.000 0.000 0.500
U1 U 0.000 0.333 0.500
Te1 Te 0.231 0.165 0.694
Te2 Te 0.232 0.500 0.693
```

11.
BaSr3Pb: computed powder diffractogram (Cu Ka), based on a crystal structure in Alexandria, relaxed with GGA-PBE.
Lines closer than 0.1° are merged.

Largest 10 diffraction maxima, in order of rising 2θ, 5 to 70 degrees two-theta:
- 2θ 13.54, I = 35
- 2θ 19.19, I = 77
- 2θ 23.56, I = 20
- 2θ 27.27, I = 100
- 2θ 30.56, I = 21
- 2θ 33.56, I = 40
- 2θ 38.95, I = 78
- 2θ 48.19, I = 28
- 2θ 52.33, I = 23
- 2θ 63.62, I = 37

Structure:
```
data_BaSr3Pb
_cell_length_a 6.541
_cell_length_b 6.541
_cell_length_c 6.541
_cell_angle_alpha 90.00
_cell_angle_beta 90.00
_cell_angle_gamma 90.00
_space_group_name_H-M_alt 'P m -3 m'
_space_group_IT_number 221
_space_group_name_Hall '-P 4 2 3'
loop_
_atom_site_label
_atom_site_type_symbol
_atom_site_fract_x
_atom_site_fract_y
_atom_site_fract_z
Ba1 Ba 0.000 0.000 0.000
Sr1 Sr 0.000 0.500 0.500
Pb1 Pb 0.500 0.500 0.500
```

12.
Pu5Tc4: computed powder diffractogram (Cu Ka), based on a crystal structure in Alexandria, relaxed with GGA-PBE.
Lines closer than 0.1° are merged.

Largest 10 diffraction maxima, in order of rising 2θ, 5 to 70 degrees two-theta:
- 2θ 12.72, I = 15
- 2θ 18.02, I = 20
- 2θ 36.06, I = 55
- 2θ 38.40, I = 89
- 2θ 38.81, I = 100
- 2θ 40.67, I = 38
- 2θ 56.02, I = 17
- 2θ 56.08, I = 17
- 2θ 66.94, I = 19
- 2θ 68.45, I = 17

Structure:
```
data_Pu5Tc4
_cell_length_a 10.088
_cell_length_b 9.849
_cell_length_c 3.370
_cell_angle_alpha 90.00
_cell_angle_beta 102.76
_cell_angle_gamma 90.00
_space_group_name_H-M_alt 'C 1 2/m 1'
_space_group_IT_number 12
loop_
_space_group_symop_operation_xyz
'x,y,z'
'-x,-y,-z'
'-x,y,-z'
'x,-y,z'
'x+1/2,y+1/2,z'
'-x+1/2,-y+1/2,-z'
'-x+1/2,y+1/2,-z'
'x+1/2,-y+1/2,z'
loop_
_atom_site_label
_atom_site_type_symbol
_atom_site_fract_x
_atom_site_fract_y
_atom_site_fract_z
Pu1 Pu 0.000 0.000 0.000
Pu2 Pu 0.000 0.339 0.000
Pu3 Pu 0.162 0.500 0.771
Tc1 Tc 0.170 0.170 0.650
```

13.
ThSi2OsW: computed powder diffractogram (Cu Ka), based on a crystal structure in Alexandria, relaxed with GGA-PBE.
Lines closer than 0.1° are merged.

Largest 10 diffraction maxima, in order of rising 2θ, 5 to 70 degrees two-theta:
- 2θ 17.06, I = 8
- 2θ 23.00, I = 26
- 2θ 33.64, I = 21
- 2θ 34.50, I = 21
- 2θ 35.02, I = 100
- 2θ 43.46, I = 33
- 2θ 56.05, I = 10
- 2θ 56.63, I = 21
- 2θ 62.15, I = 19
- 2θ 63.14, I = 11

Structure:
```
data_ThSi2OsW
_cell_length_a 4.165
_cell_length_b 4.165
_cell_length_c 10.398
_cell_angle_alpha 90.00
_cell_angle_beta 90.00
_cell_angle_gamma 90.00
_space_group_name_H-M_alt 'I -4 m 2'
_space_group_IT_number 119
_space_group_name_Hall 'I -4 -2'
loop_
_atom_site_label
_atom_site_type_symbol
_atom_site_fract_x
_atom_site_fract_y
_atom_site_fract_z
Th1 Th 0.000 0.000 0.000
Si1 Si 0.000 0.000 0.380
Os1 Os 0.000 0.500 0.750
W1 W 0.000 0.500 0.250
```